Computed XRD peak list of ZrSc3In4 for Cu Kα, 1.54184 Å, from a crystal structure in Alexandria, relaxed with GGA-PBE.

Most intense lines, 5 to 70 degrees two-theta, in order of rising 2θ:
2θ 24.0, intensity 16, hkl 2 0 1
2θ 33.4, intensity 21, hkl 1 2 1
2θ 33.5, intensity 11, hkl 0 0 2
2θ 34.7, intensity 17, hkl 1 0 2
2θ 34.8, intensity 40, hkl 4 0 0
2θ 36.8, intensity 100, hkl 2 2 1
2θ 37.9, intensity 20, hkl 2 0 2
2θ 59.2, intensity 13, hkl 0 2 3
2θ 63.7, intensity 19, hkl 6 2 1
2θ 68.2, intensity 15, hkl 4 4 0

Cell and atoms:
```
ZrSc3In4
1.0
10.3060 0.0000 0.0000
0.0000 6.4973 0.0000
0.0000 0.0000 5.3437
Zr Sc In
2 6 8
direct
0.0000 0.0000 0.0000 Zr
0.5000 0.0000 0.0000 Zr
0.0000 0.5000 0.0000 Sc
0.2500 0.0000 0.3678 Sc
0.2500 0.5000 0.3703 Sc
0.5000 0.5000 0.0000 Sc
0.7500 0.0000 0.6322 Sc
0.7500 0.5000 0.6297 Sc
0.0000 0.2513 0.5000 In
0.0000 0.7487 0.5000 In
0.2500 0.2516 0.8701 In
0.2500 0.7484 0.8701 In
0.5000 0.2513 0.5000 In
0.5000 0.7487 0.5000 In
0.7500 0.2516 0.1299 In
0.7500 0.7484 0.1299 In
```